The following is a calculated powder XRD pattern of Li7Mn5O12. It was derived from DFT lattice parameters and positions (GGA+U), using copper Kα.
Peak positions follow from Bragg's law for the DFT cell and can differ from measured ones.

Largest 10 diffraction maxima, sorted by position, 2θ from 10° to 90°:
2θ/deg  I (rel.)  index
18.29  100  1 0 0
34.11  16  0 0 4
36.24  12  -1 3 1
36.40  12  0 3 -3
40.95  34  1 0 4
44.23  28  -2 3 1
44.37  28  1 3 -3
61.64  8  -1 3 5
61.96  16  0 3 -7
62.06  8  3 -3 3

Structure:
```
Li7Mn5O12
1.0
5.0922 0.0000 0.0000
-2.4344 8.2624 0.0000
-0.4095 -3.0576 10.5132
Li Mn O
14 10 24
Cartesian
-0.2121 -0.8242 3.8971 Li
-1.6421 1.7977 9.3267 Li
-0.8058 -0.9561 9.1560 Li
-2.4391 4.5694 9.2842 Li
-1.0031 1.9705 3.9422 Li
-1.7682 4.7849 3.9277 Li
1.5857 -0.2648 7.8802 Li
0.6625 5.4695 2.6329 Li
4.0164 0.4199 6.5854 Li
3.2513 3.2342 6.5710 Li
4.6873 0.6354 1.2290 Li
3.0540 6.1608 1.3572 Li
3.8903 3.4070 1.1865 Li
2.4604 6.0290 6.6161 Li
-0.0831 5.2842 7.8464 Mn
0.7702 2.4796 7.8859 Mn
1.7016 -1.6756 10.4327 Mn
0.7104 3.9830 5.2013 Mn
2.3413 -1.5288 5.2566 Mn
1.3289 4.1312 0.0000 Mn
1.5378 1.2217 5.3119 Mn
0.5466 6.8804 0.0805 Mn
1.4781 2.7251 2.6272 Mn
2.3313 -0.0794 2.6668 Mn
0.8025 -2.0625 8.4631 O
-0.7925 3.5332 8.4372 O
-0.8508 5.0104 5.7386 O
-0.0281 2.2451 5.7923 O
0.5676 2.4410 0.5794 O
-1.0371 7.9356 0.6253 O
0.7983 -0.4670 5.8126 O
-0.1919 5.1682 0.6178 O
0.0654 0.8815 8.7368 O
-0.8707 6.5703 3.4639 O
-0.0170 3.6903 3.4519 O
0.8277 1.0213 3.4437 O
1.4205 4.1835 7.0695 O
2.2652 1.5145 7.0613 O
3.1189 -1.3655 7.0492 O
2.1829 4.3233 1.7764 O
2.4401 0.0365 9.8953 O
1.4499 5.6717 4.7006 O
3.2853 -2.7308 9.8879 O
1.6806 2.7638 9.9338 O
2.2763 2.9597 4.7209 O
3.0990 0.1944 4.7746 O
3.0408 1.6716 2.0760 O
1.4458 7.2673 2.0501 O
```